No. 1
The following is a theoretical powder X-ray diffraction pattern of Er2AlNi7. It was derived from the PBE geometry in Alexandria, using Cu Kα, 1.54184 Å.
Peak positions follow from Bragg's law for the DFT cell and can differ from measured ones.

The 10 most intense peaks (2θ = 10–90°), most intense first:
d_spacing	intensity
2.504	100.0
2.168	82.0
3.067	55.7
1.533	52.6
1.308	36.3
1.770	23.2
1.252	17.3
1.159	12.1
1.371	10.2
4.337	8.0

Crystal structure
a = 6.133 Å, b = 6.133 Å, c = 6.133 Å
α = 60.00°, β = 60.00°, γ = 60.00°
Fractional positions:
Er: 0.250 0.250 0.250
Er: 0.750 0.750 0.750
Al: 0.000 0.000 0.000
Ni: 0.249 0.249 0.751
Ni: 0.249 0.751 0.249
Ni: 0.249 0.751 0.751
Ni: 0.500 0.500 0.500
Ni: 0.751 0.249 0.249
Ni: 0.751 0.249 0.751
Ni: 0.751 0.751 0.249



No. 2
The following is a theoretical powder X-ray diffraction pattern of Ca2Ga3. It was derived from the PBE geometry in Alexandria, using Cu Kα, 1.54184 Å.
Peak positions follow from Bragg's law for the DFT cell and can differ from measured ones.

The 10 most intense peaks (2θ = 10–90°), most intense first:
d_spacing	intensity
2.691	100.0
2.526	89.3
2.737	54.7
2.298	54.5
2.812	33.7
4.982	33.0
2.470	32.6
4.347	28.9
2.321	27.1
2.214	25.5

Crystal structure
a = 6.385 Å, b = 7.387 Å, c = 9.965 Å
α = 90.00°, β = 90.00°, γ = 90.00°
Fractional positions:
Ca: 0.133 0.192 0.079
Ca: 0.133 0.808 0.579
Ca: 0.367 0.308 0.579
Ca: 0.367 0.692 0.079
Ca: 0.633 0.308 0.921
Ca: 0.633 0.692 0.421
Ca: 0.867 0.192 0.421
Ca: 0.867 0.808 0.921
Ga: 0.000 0.146 0.750
Ga: 0.000 0.854 0.250
Ga: 0.147 0.475 0.845
Ga: 0.147 0.525 0.345
Ga: 0.353 0.025 0.345
Ga: 0.353 0.975 0.845
Ga: 0.500 0.354 0.250
Ga: 0.500 0.646 0.750
Ga: 0.647 0.025 0.155
Ga: 0.647 0.975 0.655
Ga: 0.853 0.475 0.655
Ga: 0.853 0.525 0.155



Question: What is the formula in the second record?
Answer: Ca2Ga3



Question: What is the formula in the first record?
Answer: Er2AlNi7